Diffraction record for Cs3K8Rb2. The powder diffractogram is computed, not measured: it uses a PBE-relaxed structure and Cu Kα, 1.54184 Å.
Intensities are scaled so that the largest is 100.

Most intense lines, 10 to 80 degrees two-theta, by angle:
d [Å]  2θ/deg  I_rel
6.145  14.41  45.2
4.404  20.16  80.2
4.011  22.16  100.0
3.924  22.66  85.5
3.773  23.58  29.1
3.580  24.87  30.2
2.460  36.53  52.7
2.383  37.76  24.0
2.202  40.99  30.6
1.930  47.08  25.3

Atomic structure:
Unit cell a=8.8081 b=8.8081 c=51.8684 alpha=90.00 beta=90.00 gamma=120.00
Space group R-3m (No. 166, hexagonal axes)
Inequivalent atoms, fractional coordinates:
Cs1 0.0000 0.0000 0.0000
Cs2 0.0000 0.0000 0.1821
K1 0.0000 0.0000 0.2731
K2 0.0021 0.5011 0.7650
Rb1 0.0000 0.0000 0.3570

***

Diffraction record for Cs6KRb4. The powder diffractogram is computed, not measured: it uses a PBE-relaxed structure and Cu Kα, 1.54184 Å.
Intensities are scaled so that the largest is 100.

Most intense lines, 10 to 80 degrees two-theta, by angle:
d [Å]  2θ/deg  I_rel
4.727  18.77  28.2
4.599  19.30  41.2
4.315  20.58  74.9
4.247  20.92  100.0
4.127  21.53  38.3
4.042  21.99  40.1
3.885  22.89  26.0
3.422  26.04  23.5
2.547  35.24  28.2
2.332  38.60  21.6

Atomic structure:
Unit cell a=9.481 b=9.493 c=13.639 alpha=102.50 beta=102.49 gamma=93.77
Space group P1 (No. 1)
Inequivalent atoms, fractional coordinates:
Cs1 0.000 0.000 0.000
Cs2 0.050 0.671 0.324
Cs3 0.383 0.620 0.002
Cs4 0.541 0.545 0.641
Cs5 0.617 0.236 0.218
Cs6 0.931 0.160 0.641
K1 0.051 0.670 0.672
Rb1 0.196 0.192 0.379
Rb2 0.450 0.066 0.778
Rb3 0.572 0.817 0.383
Rb4 0.857 0.474 0.961

***

Diffraction record for Cs2KRb6. The powder diffractogram is computed, not measured: it uses a PBE-relaxed structure and Cu Kα, 1.54184 Å.
Intensities are scaled so that the largest is 100.

Most intense lines, 10 to 80 degrees two-theta, by angle:
d [Å]  2θ/deg  I_rel
4.088  21.74  100.0
4.062  21.88  33.6
4.036  22.03  30.9
3.975  22.36  29.8
2.900  30.83  13.1
2.877  31.09  12.8
2.826  31.66  13.8
2.367  38.01  29.6
2.351  38.29  15.2
2.118  42.69  11.2

Atomic structure:
Unit cell a=24.383 b=14.211 c=4.905 alpha=90.00 beta=91.80 gamma=90.00
Space group C2/m (No. 12)
Inequivalent atoms, fractional coordinates:
Cs1 0.166 0.000 0.498
K1 0.000 0.500 0.500
Rb1 0.000 0.173 0.000
Rb2 0.164 0.337 0.999

***

Diffraction record for Cs4K7Rb3. The powder diffractogram is computed, not measured: it uses a PBE-relaxed structure and Cu Kα, 1.54184 Å.
Intensities are scaled so that the largest is 100.

Most intense lines, 10 to 80 degrees two-theta, by angle:
d [Å]  2θ/deg  I_rel
5.586  15.87  9.1
3.950  22.51  100.0
2.793  32.05  19.7
2.283  39.47  20.9
2.278  39.56  21.8
1.975  45.96  8.9
1.767  51.72  9.1
1.765  51.79  9.2
1.493  62.19  8.3
1.491  62.27  7.0

Atomic structure:
Unit cell a=23.696 b=7.886 c=16.794 alpha=90.00 beta=128.98 gamma=90.00
Space group C2/m (No. 12)
Inequivalent atoms, fractional coordinates:
Cs1 0.077 0.000 0.288
Cs2 0.219 0.000 0.857
K1 0.000 0.000 0.500
K2 0.142 0.000 0.074
K3 0.147 0.500 0.575
K4 0.219 0.500 0.363
Rb1 0.000 0.500 0.000
Rb2 0.064 0.500 0.768

***

Diffraction record for Cs3K6Rb5. The powder diffractogram is computed, not measured: it uses a PBE-relaxed structure and Cu Kα, 1.54184 Å.
Intensities are scaled so that the largest is 100.

Most intense lines, 10 to 80 degrees two-theta, by angle:
d [Å]  2θ/deg  I_rel
5.499  16.12  39.0
4.512  19.68  34.9
4.364  20.35  38.8
4.301  20.65  62.4
3.945  22.54  85.7
3.855  23.07  100.0
3.822  23.28  59.5
3.757  23.68  68.0
2.969  30.09  28.6
2.926  30.55  31.1

Atomic structure:
Unit cell a=7.890 b=23.002 c=13.804 alpha=90.00 beta=90.00 gamma=90.00
Space group Pmmn (No. 59, origin choice 2)
Inequivalent atoms, fractional coordinates:
Cs1 0.250 0.071 0.241
Cs2 0.250 0.750 0.414
K1 0.250 0.015 0.905
K2 0.250 0.250 0.381
K3 0.250 0.250 0.981
K4 0.250 0.562 0.545
Rb1 0.250 0.130 0.652
Rb2 0.250 0.640 0.105
Rb3 0.250 0.750 0.794

***

Diffraction record for Cs4K7Rb5. The powder diffractogram is computed, not measured: it uses a PBE-relaxed structure and Cu Kα, 1.54184 Å.
Intensities are scaled so that the largest is 100.

Most intense lines, 10 to 80 degrees two-theta, by angle:
d [Å]  2θ/deg  I_rel
6.448  13.73  23.7
3.987  22.30  100.0
3.876  22.94  47.8
2.904  30.79  10.7
2.741  32.67  18.6
2.324  38.74  22.1
2.259  39.92  41.3
1.993  45.51  13.7
1.519  60.98  10.8
1.488  62.39  10.2

Atomic structure:
Unit cell a=10.963 b=10.963 c=23.233 alpha=90.00 beta=90.00 gamma=90.00
Space group I-42m (No. 121)
Inequivalent atoms, fractional coordinates:
Cs1 0.244 0.244 0.121
K1 0.000 0.000 0.000
K2 0.000 0.500 0.000
K3 0.247 0.247 0.880
Rb1 0.000 0.000 0.255
Rb2 0.000 0.000 0.500
Rb3 0.000 0.500 0.250

***

Diffraction record for Cs3K4Rb9. The powder diffractogram is computed, not measured: it uses a PBE-relaxed structure and Cu Kα, 1.54184 Å.
Intensities are scaled so that the largest is 100.

Most intense lines, 10 to 80 degrees two-theta, by angle:
d [Å]  2θ/deg  I_rel
5.567  15.92  18.8
5.188  17.09  28.4
4.722  18.79  50.9
4.284  20.73  49.8
3.905  22.77  100.0
2.784  32.16  31.8
2.743  32.65  28.5
2.497  35.97  17.5
2.453  36.64  15.3
2.266  39.79  25.5

Atomic structure:
Unit cell a=11.1348 b=11.1348 c=46.6939 alpha=90.00 beta=90.00 gamma=120.00
Space group R3 (No. 146, hexagonal axes)
Inequivalent atoms, fractional coordinates:
Cs1 0.0000 0.0000 0.0000
Cs2 0.0000 0.0000 0.1359
Cs3 0.0000 0.0000 0.5695
K1 0.0000 0.0000 0.2961
K2 0.0000 0.0000 0.3922
K3 0.0000 0.0000 0.7470
K4 0.0000 0.0000 0.8431
Rb1 0.0550 0.5578 0.1386
Rb2 0.1533 0.3361 0.9021
Rb3 0.1583 0.7698 0.3340

***

Diffraction record for CsK3Rb3. The powder diffractogram is computed, not measured: it uses a PBE-relaxed structure and Cu Kα, 1.54184 Å.
Intensities are scaled so that the largest is 100.

Most intense lines, 10 to 80 degrees two-theta, by angle:
d [Å]  2θ/deg  I_rel
6.870  12.89  26.7
5.922  14.96  37.1
4.230  21.00  43.0
3.957  22.47  100.0
3.589  24.81  31.1
3.574  24.92  44.8
3.442  25.88  20.1
2.386  37.70  25.4
2.281  39.51  27.9
2.009  45.13  19.6

Atomic structure:
Unit cell a=13.639 b=8.460 c=13.697 alpha=90.00 beta=119.86 gamma=90.00
Space group P2_1/m (No. 11)
Inequivalent atoms, fractional coordinates:
Cs1 0.168 0.250 0.336
K1 0.053 0.250 0.779
K2 0.276 0.750 0.223
K3 0.276 0.750 0.553
Rb1 0.260 0.750 0.881
Rb2 0.379 0.250 0.760
Rb3 0.380 0.250 0.120

***

Diffraction record for Cs10KRb4. The powder diffractogram is computed, not measured: it uses a PBE-relaxed structure and Cu Kα, 1.54184 Å.
Intensities are scaled so that the largest is 100.

Most intense lines, 10 to 80 degrees two-theta, by angle:
d [Å]  2θ/deg  I_rel
6.626  13.36  11.4
5.753  15.40  21.9
5.709  15.52  10.7
4.058  21.90  100.0
3.313  26.91  11.5
2.877  31.09  13.7
2.571  34.90  11.5
2.346  38.37  30.3
2.337  38.53  15.0
1.819  50.16  13.7

Atomic structure:
Unit cell a=18.193 b=18.193 c=11.419 alpha=90.00 beta=90.00 gamma=90.00
Space group I4/m (No. 87)
Inequivalent atoms, fractional coordinates:
Cs1 0.000 0.500 0.250
Cs2 0.098 0.196 0.245
K1 0.000 0.000 0.000
Rb1 0.101 0.701 0.500

***

Diffraction record for Cs4K8Rb3. The powder diffractogram is computed, not measured: it uses a PBE-relaxed structure and Cu Kα, 1.54184 Å.
Intensities are scaled so that the largest is 100.

Most intense lines, 10 to 80 degrees two-theta, by angle:
d [Å]  2θ/deg  I_rel
5.798  15.28  61.9
4.768  18.61  90.2
4.541  19.55  21.7
4.049  21.95  53.4
3.992  22.27  88.6
3.841  23.15  100.0
3.652  24.37  91.7
2.575  34.84  22.5
2.389  37.65  41.7
2.266  39.78  19.0

Atomic structure:
Unit cell a=14.6077 b=14.6077 c=14.5057 alpha=90.00 beta=90.00 gamma=120.00
Space group P6_3mc (No. 186)
Inequivalent atoms, fractional coordinates:
Cs1 0.2000 0.3999 0.0000
Cs2 0.3333 0.6667 0.4502
K1 0.0000 0.0000 0.0673
K2 0.1162 0.2324 0.3196
K3 0.1732 0.3464 0.6279
K4 0.3333 0.6667 0.7711
Rb1 0.0322 0.5161 0.2576

***

Diffraction record for Cs4K5Rb7. The powder diffractogram is computed, not measured: it uses a PBE-relaxed structure and Cu Kα, 1.54184 Å.
Intensities are scaled so that the largest is 100.

Most intense lines, 10 to 80 degrees two-theta, by angle:
d [Å]  2θ/deg  I_rel
4.050  21.95  100.0
3.874  22.95  45.1
3.006  29.72  11.3
2.740  32.69  17.9
2.375  37.88  22.9
2.269  39.72  40.9
2.025  44.76  14.2
1.882  48.36  10.7
1.551  59.60  11.2
1.501  61.79  11.6

Atomic structure:
Unit cell a=10.958 b=10.958 c=24.048 alpha=90.00 beta=90.00 gamma=90.00
Space group I-42m (No. 121)
Inequivalent atoms, fractional coordinates:
Cs1 0.246 0.246 0.129
K1 0.000 0.000 0.000
K2 0.000 0.000 0.253
K3 0.000 0.500 0.250
Rb1 0.000 0.000 0.500
Rb2 0.000 0.500 0.000
Rb3 0.247 0.247 0.870

***

Diffraction record for CsK7Rb5. The powder diffractogram is computed, not measured: it uses a PBE-relaxed structure and Cu Kα, 1.54184 Å.
Intensities are scaled so that the largest is 100.

Most intense lines, 10 to 80 degrees two-theta, by angle:
d [Å]  2θ/deg  I_rel
6.916  12.80  12.7
4.252  20.89  11.4
3.985  22.31  100.0
3.967  22.41  46.1
3.794  23.45  33.8
2.832  31.60  11.0
2.384  37.73  15.2
2.228  40.48  24.7
2.222  40.60  13.3
2.200  41.03  10.6

Atomic structure:
Unit cell a=18.329 b=17.006 c=7.588 alpha=90.00 beta=114.24 gamma=90.00
Space group Cm (No. 8)
Inequivalent atoms, fractional coordinates:
Cs1 0.000 0.000 0.000
K1 0.000 0.219 0.497
K2 0.121 0.500 0.620
K3 0.211 0.000 0.709
K4 0.370 0.000 0.370
K5 0.496 0.124 0.995
Rb1 0.197 0.200 0.190
Rb2 0.287 0.500 0.284
Rb3 0.298 0.298 0.791